[1]
Simulated X-ray powder pattern
Compound: Ba6InAu5
Radiation: Cu Kα X-rays
Structure: a GGA-PBE-relaxed structure
No peak broadening, texture or thermal motion is included.

Structure:
a = 5.7626 Å, b = 8.1375 Å, c = 9.1225 Å
α = 90.00°, β = 108.26°, γ = 90.00°
Sites, in units of the cell vectors:
Ba: 0.0000 0.2388 0.0000
Ba: 0.0000 0.7612 0.0000
Ba: 0.3300 0.2499 0.6594
Ba: 0.3300 0.7501 0.6594
Ba: 0.6700 0.2499 0.3406
Ba: 0.6700 0.7501 0.3406
In: 0.5000 0.5000 0.0000
Au: 0.1584 0.5000 0.3166
Au: 0.1665 0.0000 0.3356
Au: 0.5000 0.0000 0.0000
Au: 0.8335 0.0000 0.6644
Au: 0.8416 0.5000 0.6834

Main lines, low angle first (2θ from 15° to 90°):
- 21.8°, I = 3
- 31.0°, I = 100
- 44.4°, I = 6
- 44.5°, I = 12
- 55.1°, I = 19
- 55.3°, I = 19
- 64.7°, I = 10
- 73.3°, I = 4
- 73.4°, I = 3
- 73.6°, I = 10
- 81.9°, I = 2
- 89.9°, I = 3

=====

[2]
Simulated X-ray powder pattern
Compound: BeAlW2
Radiation: Cu Kα X-rays
Structure: a GGA-PBE-relaxed structure
No peak broadening, texture or thermal motion is included.

Structure:
a = 4.8104 Å, b = 4.8104 Å, c = 2.6795 Å
α = 90.00°, β = 90.00°, γ = 112.61°
Sites, in units of the cell vectors:
Be: 0.0000 0.0000 0.0000
Al: 0.5000 0.5000 0.0000
W: 0.0000 0.5000 0.5000
W: 0.5000 0.0000 0.5000

Main lines, low angle first (2θ from 15° to 90°):
- 22.2°, I = 100
- 33.4°, I = 36
- 33.6°, I = 36
- 40.5°, I = 62
- 40.6°, I = 62
- 45.3°, I = 23
- 48.1°, I = 38
- 53.6°, I = 39
- 57.5°, I = 32
- 68.2°, I = 27
- 80.4°, I = 23
- 84.5°, I = 16

=====

[3]
Simulated X-ray powder pattern
Compound: Sr2GaRh3
Radiation: Cu Kα X-rays
Structure: a GGA-PBE-relaxed structure
No peak broadening, texture or thermal motion is included.

Structure:
a = 5.3192 Å, b = 5.3192 Å, c = 5.3192 Å
α = 64.89°, β = 64.89°, γ = 64.89°
Sites, in units of the cell vectors:
Sr: 0.1266 0.1266 0.1266
Sr: 0.8734 0.8734 0.8734
Ga: 0.5000 0.5000 0.5000
Rh: 0.0000 0.5000 0.5000
Rh: 0.5000 0.0000 0.5000
Rh: 0.5000 0.5000 0.0000

Main lines, low angle first (2θ from 15° to 90°):
- 31.3°, I = 19
- 33.9°, I = 32
- 37.1°, I = 77
- 38.2°, I = 100
- 39.2°, I = 73
- 40.4°, I = 40
- 43.3°, I = 20
- 60.4°, I = 25
- 62.0°, I = 22
- 65.4°, I = 34
- 71.3°, I = 26
- 81.8°, I = 18

=====

Number 3 is which compound?
Sr2GaRh3